No. 1
Theoretical XRD peak list of Ga2SnS4 for CuKα, from a crystal structure in Alexandria, relaxed with GGA-PBE.
Neutral-atom scattering factors, no anomalous dispersion.

Peak list (10 most intense, 2θ = 5–70°, sorted by position)
| two_theta | intensity |
| --- | --- |
| 16.5 | 17 |
| 18.7 | 71 |
| 23.4 | 66 |
| 30.1 | 90 |
| 33.3 | 56 |
| 34.0 | 66 |
| 48.3 | 100 |
| 51.8 | 15 |
| 52.7 | 18 |
| 53.9 | 30 |

Atomic structure:
Cell lengths 6.1735, 6.1735, 6.1735 Å; angles 103.93, 103.93, 121.23 degrees
Fractional positions:
Ga1 0.2500 0.7500 0.5000
Ga2 0.7500 0.2500 0.5000
Sn1 0.0000 0.0000 0.0000
S1 0.1682 0.3439 0.5121
S2 0.3439 0.8318 0.1756
S3 0.6561 0.1682 0.8244
S4 0.8318 0.6561 0.4879

No. 2
Theoretical XRD peak list of Ga4SnS7 for CuKα, from a crystal structure in Alexandria, relaxed with GGA-PBE.
Neutral-atom scattering factors, no anomalous dispersion.

Peak list (10 most intense, 2θ = 5–70°, sorted by position)
| two_theta | intensity |
| --- | --- |
| 14.9 | 52 |
| 21.0 | 66 |
| 23.0 | 42 |
| 27.5 | 100 |
| 29.5 | 80 |
| 30.2 | 28 |
| 31.3 | 30 |
| 40.7 | 47 |
| 48.5 | 45 |
| 53.4 | 38 |

Atomic structure:
Cell lengths 15.0302, 6.4496, 6.0596 Å; angles 90.00, 90.00, 90.00 degrees
Fractional positions:
Ga1 0.1236 0.1584 0.0000
Ga2 0.2461 0.6800 0.9925
Ga3 0.2539 0.3200 0.4925
Ga4 0.3764 0.8416 0.5000
Ga5 0.6236 0.8416 0.5000
Ga6 0.7461 0.3200 0.4925
Ga7 0.7539 0.6800 0.9925
Ga8 0.8764 0.1584 0.0000
Sn1 0.0000 0.4763 0.4631
Sn2 0.5000 0.5237 0.9631
S1 0.0000 0.3514 0.8998
S2 0.1198 0.1772 0.3853
S3 0.1207 0.8305 0.8786
S4 0.2483 0.6674 0.3810
S5 0.2517 0.3326 0.8810
S6 0.3793 0.1695 0.3786
S7 0.3802 0.8228 0.8853
S8 0.5000 0.6486 0.3998
S9 0.6198 0.8228 0.8853
S10 0.6207 0.1695 0.3786
S11 0.7483 0.3326 0.8810
S12 0.7517 0.6674 0.3810
S13 0.8793 0.8305 0.8786
S14 0.8802 0.1772 0.3853

No. 3
Theoretical XRD peak list of Ga2Sn2S5 for CuKα, from a crystal structure in Alexandria, relaxed with GGA-PBE.
Neutral-atom scattering factors, no anomalous dispersion.

Peak list (10 most intense, 2θ = 5–70°, sorted by position)
| two_theta | intensity |
| --- | --- |
| 16.1 | 24 |
| 22.5 | 100 |
| 27.9 | 23 |
| 28.1 | 56 |
| 29.3 | 39 |
| 30.0 | 38 |
| 30.1 | 36 |
| 32.6 | 27 |
| 35.6 | 42 |
| 46.3 | 24 |

Atomic structure:
Cell lengths 12.6853, 6.3893, 10.9911 Å; angles 90.00, 90.00, 90.00 degrees
Fractional positions:
Ga1 0.1819 0.1527 0.0000
Ga2 0.2317 0.6462 0.8339
Ga3 0.2683 0.1462 0.3339
Ga4 0.3181 0.6527 0.5000
Ga5 0.6819 0.3473 0.0000
Ga6 0.7317 0.8538 0.8339
Ga7 0.7683 0.3538 0.3339
Ga8 0.8181 0.8473 0.5000
Sn1 0.0188 0.4489 0.4761
Sn2 0.0390 0.0434 0.6993
Sn3 0.4610 0.5434 0.1993
Sn4 0.4812 0.9489 0.9761
Sn5 0.5188 0.0511 0.4761
Sn6 0.5390 0.4566 0.6993
Sn7 0.9610 0.9566 0.1993
Sn8 0.9812 0.5511 0.9761
S1 0.0066 0.1412 0.9412
S2 0.0612 0.6424 0.7565
S3 0.1727 0.9768 0.1848
S4 0.2121 0.4891 0.3575
S5 0.2266 0.4948 0.0218
S6 0.2734 0.9948 0.5218
S7 0.2879 0.9891 0.8575
S8 0.3273 0.4768 0.6848
S9 0.4388 0.1424 0.2565
S10 0.4934 0.6412 0.4412
S11 0.5066 0.3588 0.9412
S12 0.5612 0.8576 0.7565
S13 0.6727 0.5232 0.1848
S14 0.7121 0.0109 0.3575
S15 0.7266 0.0052 0.0218
S16 0.7734 0.5052 0.5218
S17 0.7879 0.5109 0.8575
S18 0.8273 0.0232 0.6848
S19 0.9388 0.3576 0.2565
S20 0.9934 0.8588 0.4412

No. 4
Theoretical XRD peak list of TlGa2SnS6 for CuKα, from a crystal structure in Alexandria, relaxed with GGA-PBE.
Neutral-atom scattering factors, no anomalous dispersion.

Peak list (10 most intense, 2θ = 5–70°, sorted by position)
| two_theta | intensity |
| --- | --- |
| 10.4 | 82 |
| 14.9 | 68 |
| 21.0 | 50 |
| 23.3 | 95 |
| 23.6 | 100 |
| 25.5 | 44 |
| 26.9 | 47 |
| 31.8 | 58 |
| 33.6 | 48 |
| 35.7 | 71 |

Atomic structure:
Cell lengths 8.8312, 8.8312, 7.1709 Å; angles 106.20, 106.20, 86.24 degrees
Fractional positions:
Tl1 0.1435 0.8565 0.7500
Tl2 0.8565 0.1435 0.2500
Ga1 0.2558 0.3828 0.8098
Ga2 0.3828 0.2558 0.3098
Ga3 0.6172 0.7442 0.6902
Ga4 0.7442 0.6172 0.1902
Sn1 0.1930 0.8070 0.2500
Sn2 0.8070 0.1930 0.7500
S1 0.0559 0.1821 0.6551
S2 0.1122 0.6070 0.9271
S3 0.1821 0.0559 0.1551
S4 0.2953 0.4454 0.5361
S5 0.3930 0.8878 0.5729
S6 0.4454 0.2953 0.0361
S7 0.5546 0.7047 0.9639
S8 0.6070 0.1122 0.4271
S9 0.7047 0.5546 0.4639
S10 0.8179 0.9441 0.8449
S11 0.8878 0.3930 0.0729
S12 0.9441 0.8179 0.3449

No. 5
Theoretical XRD peak list of Tl2GaSnS4 for CuKα, from a crystal structure in Alexandria, relaxed with GGA-PBE.
Neutral-atom scattering factors, no anomalous dispersion.

Peak list (10 most intense, 2θ = 5–70°, sorted by position)
| two_theta | intensity |
| --- | --- |
| 17.0 | 27 |
| 23.4 | 100 |
| 24.4 | 69 |
| 28.3 | 59 |
| 28.6 | 58 |
| 36.2 | 41 |
| 37.9 | 36 |
| 39.0 | 22 |
| 46.8 | 40 |
| 55.3 | 22 |

Atomic structure:
Cell lengths 7.9093, 9.5669, 6.2342 Å; angles 90.00, 90.00, 90.00 degrees
Fractional positions:
Tl1 0.2261 0.1497 0.0000
Tl2 0.2739 0.8503 0.5000
Tl3 0.7261 0.8503 0.5000
Tl4 0.7739 0.1497 0.0000
Ga1 0.0000 0.6447 0.9344
Ga2 0.5000 0.3553 0.4344
Sn1 0.0000 0.3906 0.4558
Sn2 0.5000 0.6094 0.9558
S1 0.0000 0.4142 0.0436
S2 0.0000 0.6499 0.5612
S3 0.2373 0.7712 0.0236
S4 0.2627 0.2288 0.5236
S5 0.5000 0.3501 0.0612
S6 0.5000 0.5858 0.5436
S7 0.7373 0.2288 0.5236
S8 0.7627 0.7712 0.0236

No. 6
Theoretical XRD peak list of SrGa4S7 for CuKα, from a crystal structure in Alexandria, relaxed with GGA-PBE.
Neutral-atom scattering factors, no anomalous dispersion.

Peak list (10 most intense, 2θ = 5–70°, sorted by position)
| two_theta | intensity |
| --- | --- |
| 15.7 | 76 |
| 23.5 | 46 |
| 27.5 | 100 |
| 28.2 | 45 |
| 29.4 | 67 |
| 31.3 | 65 |
| 31.7 | 34 |
| 48.3 | 39 |
| 49.5 | 57 |
| 53.3 | 57 |

Atomic structure:
Cell lengths 15.0731, 6.3315, 6.0823 Å; angles 90.00, 90.00, 90.00 degrees
Fractional positions:
Sr1 0.0000 0.1080 0.0000
Sr2 0.5000 0.8920 0.5000
Ga1 0.1206 0.6598 0.7102
Ga2 0.2493 0.1753 0.6962
Ga3 0.2507 0.8247 0.1962
Ga4 0.3794 0.3402 0.2102
Ga5 0.6206 0.3402 0.2102
Ga6 0.7493 0.8247 0.1962
Ga7 0.7507 0.1753 0.6962
Ga8 0.8794 0.6598 0.7102
S1 0.0000 0.8406 0.5810
S2 0.1149 0.3126 0.6131
S3 0.1161 0.7107 0.0842
S4 0.2489 0.1797 0.0849
S5 0.2511 0.8203 0.5849
S6 0.3839 0.2893 0.5842
S7 0.3851 0.6874 0.1131
S8 0.5000 0.1594 0.0810
S9 0.6149 0.6874 0.1131
S10 0.6161 0.2893 0.5842
S11 0.7489 0.8203 0.5849
S12 0.7511 0.1797 0.0849
S13 0.8839 0.7107 0.0842
S14 0.8851 0.3126 0.6131

No. 7
Theoretical XRD peak list of Ta4GaS8 for CuKα, from a crystal structure in Alexandria, relaxed with GGA-PBE.
Neutral-atom scattering factors, no anomalous dispersion.

Peak list (10 most intense, 2θ = 5–70°, sorted by position)
| two_theta | intensity |
| --- | --- |
| 15.3 | 100 |
| 17.7 | 25 |
| 29.5 | 74 |
| 30.9 | 27 |
| 35.8 | 59 |
| 39.1 | 38 |
| 44.2 | 28 |
| 47.1 | 63 |
| 51.5 | 47 |
| 66.6 | 19 |

Atomic structure:
Cell lengths 7.0944, 7.0944, 7.0944 Å; angles 60.00, 60.00, 60.00 degrees
Fractional positions:
Ta1 0.1050 0.1050 0.1050
Ta2 0.1050 0.1050 0.6848
Ta3 0.1050 0.6848 0.1050
Ta4 0.6848 0.1050 0.1050
Ga1 0.5000 0.5000 0.5000
S1 0.3659 0.3659 0.3659
S2 0.3659 0.3659 0.9023
S3 0.3659 0.9023 0.3659
S4 0.3978 0.8674 0.8674
S5 0.8674 0.3978 0.8674
S6 0.8674 0.8674 0.3978
S7 0.8674 0.8674 0.8674
S8 0.9023 0.3659 0.3659

No. 8
Theoretical XRD peak list of Th6GaS5 for CuKα, from a crystal structure in Alexandria, relaxed with GGA-PBE.
Neutral-atom scattering factors, no anomalous dispersion.

Peak list (10 most intense, 2θ = 5–70°, sorted by position)
| two_theta | intensity |
| --- | --- |
| 26.6 | 23 |
| 26.7 | 68 |
| 30.8 | 100 |
| 44.1 | 38 |
| 44.2 | 37 |
| 52.2 | 8 |
| 52.3 | 12 |
| 52.4 | 27 |
| 54.9 | 20 |
| 64.3 | 12 |

Atomic structure:
Cell lengths 7.0909, 7.0909, 7.1169 Å; angles 99.55, 99.55, 120.00 degrees
Fractional positions:
Th1 0.0760 0.4154 0.7467
Th2 0.2442 0.2442 0.2515
Th3 0.4154 0.0760 0.7467
Th4 0.5846 0.9240 0.2533
Th5 0.7558 0.7558 0.7485
Th6 0.9240 0.5846 0.2533
Ga1 0.5000 0.5000 0.0000
S1 0.0000 0.0000 0.5000
S2 0.1676 0.8324 0.0000
S3 0.3391 0.6609 0.5000
S4 0.6609 0.3391 0.5000
S5 0.8324 0.1676 0.0000

No. 9
Theoretical XRD peak list of TiGaS3 for CuKα, from a crystal structure in Alexandria, relaxed with GGA-PBE.
Neutral-atom scattering factors, no anomalous dispersion.

Peak list (10 most intense, 2θ = 5–70°, sorted by position)
| two_theta | intensity |
| --- | --- |
| 15.1 | 100 |
| 15.8 | 44 |
| 25.8 | 11 |
| 27.1 | 28 |
| 29.6 | 33 |
| 29.9 | 26 |
| 39.9 | 32 |
| 47.9 | 15 |
| 49.1 | 36 |
| 49.9 | 15 |

Atomic structure:
Cell lengths 3.5224, 6.6008, 6.6008 Å; angles 63.06, 90.00, 90.00 degrees
Fractional positions:
Ti1 0.0000 0.0000 0.0000
Ga1 0.5000 0.6609 0.6609
S1 0.0000 0.7897 0.7897
S2 0.5000 0.2716 0.8117
S3 0.5000 0.8117 0.2716

No. 10
Theoretical XRD peak list of TiGaS2 for CuKα, from a crystal structure in Alexandria, relaxed with GGA-PBE.
Neutral-atom scattering factors, no anomalous dispersion.

Peak list (10 most intense, 2θ = 5–70°, sorted by position)
| two_theta | intensity |
| --- | --- |
| 23.7 | 20 |
| 30.6 | 33 |
| 31.4 | 35 |
| 34.4 | 31 |
| 36.5 | 100 |
| 41.6 | 46 |
| 44.6 | 18 |
| 54.0 | 43 |
| 62.3 | 15 |
| 66.9 | 15 |

Atomic structure:
Cell lengths 7.7481, 7.7481, 7.7481 Å; angles 25.33, 25.33, 25.33 degrees
Fractional positions:
Ti1 0.0000 0.0000 0.0000
Ga1 0.1617 0.1617 0.1617
S1 0.3998 0.3998 0.3998
S2 0.6018 0.6018 0.6018

No. 11
Theoretical XRD peak list of Ti4GaS8 for CuKα, from a crystal structure in Alexandria, relaxed with GGA-PBE.
Neutral-atom scattering factors, no anomalous dispersion.

Peak list (10 most intense, 2θ = 5–70°, sorted by position)
| two_theta | intensity |
| --- | --- |
| 15.3 | 31 |
| 17.7 | 30 |
| 25.2 | 20 |
| 29.6 | 89 |
| 30.9 | 15 |
| 35.9 | 84 |
| 39.2 | 15 |
| 44.3 | 15 |
| 47.2 | 48 |
| 51.6 | 100 |

Atomic structure:
Cell lengths 7.0812, 7.0812, 7.0812 Å; angles 60.00, 60.00, 60.00 degrees
Fractional positions:
Ti1 0.1123 0.1123 0.1123
Ti2 0.1123 0.1123 0.6630
Ti3 0.1123 0.6630 0.1123
Ti4 0.6630 0.1123 0.1123
Ga1 0.5000 0.5000 0.5000
S1 0.3668 0.3668 0.3668
S2 0.3668 0.3668 0.8997
S3 0.3668 0.8997 0.3668
S4 0.3746 0.8751 0.8751
S5 0.8751 0.3746 0.8751
S6 0.8751 0.8751 0.3746
S7 0.8751 0.8751 0.8751
S8 0.8997 0.3668 0.3668

No. 12
Theoretical XRD peak list of TiGa2S4 for CuKα, from a crystal structure in Alexandria, relaxed with GGA-PBE.
Neutral-atom scattering factors, no anomalous dispersion.

Peak list (10 most intense, 2θ = 5–70°, sorted by position)
| two_theta | intensity |
| --- | --- |
| 17.3 | 100 |
| 18.8 | 39 |
| 24.6 | 40 |
| 31.1 | 58 |
| 33.7 | 60 |
| 35.1 | 50 |
| 38.1 | 43 |
| 49.4 | 95 |
| 53.7 | 13 |
| 56.9 | 25 |

Atomic structure:
Cell lengths 5.9916, 5.9916, 5.9916 Å; angles 105.67, 105.67, 117.37 degrees
Fractional positions:
Ti1 0.0000 0.0000 0.0000
Ga1 0.2500 0.7500 0.5000
Ga2 0.7500 0.2500 0.5000
S1 0.1504 0.3148 0.4651
S2 0.3148 0.8496 0.1644
S3 0.6852 0.1504 0.8356
S4 0.8496 0.6852 0.5349